The following is a calculated powder diffractogram of AlZnAu. It was derived from a DFT-relaxed cell (PBE, Alexandria), using Cu Kα X-rays.

Most intense lines, 2θ from 15° to 90°, in order of rising 2θ:
(hkl)	2θ (°)	Rel. int.
0 2 1	25.4	100
2 2 -1	28.8	9
4 0 -2	41.1	16
0 4 0	41.2	17
2 2 -3	42.5	58
4 2 -1	48.9	17
2 4 -2	49.0	17
2 0 2	51.3	15
4 4 -2	59.6	10
2 4 2	67.9	10
2 6 -3	76.1	10
0 4 4	78.8	7

Crystal structure
```
data_AlZnAu
_cell_length_a 8.7914
_cell_length_b 8.7566
_cell_length_c 7.3033
_cell_angle_alpha 90.00
_cell_angle_beta 126.90
_cell_angle_gamma 90.00
_symmetry_space_group_name_H-M 'C 1 2/c 1'
_symmetry_Int_Tables_number 15
loop_
_symmetry_equiv_pos_as_xyz
'x,y,z'
'-x,-y,-z'
'-x,y,-z+1/2'
'x,-y,z+1/2'
'x+1/2,y+1/2,z'
'-x+1/2,-y+1/2,-z'
'-x+1/2,y+1/2,-z+1/2'
'x+1/2,-y+1/2,z+1/2'
loop_
_atom_site_label
_atom_site_fract_x
_atom_site_fract_y
_atom_site_fract_z
_atom_site_occupancy
Al1 0.1297 0.1251 0.0096 1
Zn1 0.1184 0.3754 0.4879 1
Au1 0.2396 0.1251 0.7495 1
```


The following is a calculated powder diffractogram of Rb2Tl12Sn. It was derived from a DFT-relaxed cell (PBE, Alexandria), using Cu Kα X-rays.

Most intense lines, 2θ from 15° to 90°, in order of rising 2θ:
(hkl)	2θ (°)	Rel. int.
1 1 2	19.5	44
1 1 4	24.5	29
2 0 2	26.3	90
2 1 3	30.7	33
1 1 6	31.2	35
2 1 4	32.8	32
2 0 5	32.9	44
1 1 7	34.9	29
2 2 0	35.4	100
2 0 6	36.0	92
3 1 8	53.5	34
4 2 5	62.0	23

Crystal structure
```
data_Rb2Tl12Sn
_cell_length_a 7.1774
_cell_length_b 7.1774
_cell_length_c 20.8547
_cell_angle_alpha 90.00
_cell_angle_beta 90.00
_cell_angle_gamma 90.00
_symmetry_space_group_name_H-M 'P 4/n b m'
_symmetry_Int_Tables_number 125
loop_
_symmetry_equiv_pos_as_xyz
'x,y,z'
'-x,-y,-z'
'-y+1/2,x,z'
'y+1/2,-x,-z'
'-x+1/2,-y+1/2,z'
'x+1/2,y+1/2,-z'
'y,-x+1/2,z'
'-y,x+1/2,-z'
'x,-y+1/2,-z'
'-x,y+1/2,z'
'-y+1/2,-x+1/2,-z'
'y+1/2,x+1/2,z'
'-x+1/2,y,-z'
'x+1/2,-y,z'
'y,x,-z'
'-y,-x,z'
loop_
_atom_site_label
_atom_site_fract_x
_atom_site_fract_y
_atom_site_fract_z
_atom_site_occupancy
Rb1 0.2500 0.7500 0.2433 1
Tl1 0.9999 0.0001 0.4077 1
Tl2 0.0849 0.5849 0.0637 1
Tl3 0.2500 0.2500 0.1558 1
Tl4 0.2500 0.2500 0.3115 1
Sn1 0.2500 0.7500 0.5000 1
```


The following is a calculated powder diffractogram of CeNd2TaN4. It was derived from a DFT-relaxed cell (PBE, Alexandria), using Cu Kα X-rays.

Most intense lines, 2θ from 15° to 90°, in order of rising 2θ:
(hkl)	2θ (°)	Rel. int.
0 2 2	31.3	100
2 0 2	32.0	93
2 2 0	36.6	91
0 0 4	36.8	45
0 4 0	51.8	16
2 2 4	52.9	61
4 0 0	53.7	15
2 4 2	62.2	30
0 2 6	62.8	15
4 2 2	63.5	28
0 4 4	65.2	16
4 0 4	66.9	15

Crystal structure
```
data_CeNd2TaN4
_cell_length_a 6.8236
_cell_length_b 7.0592
_cell_length_c 9.7758
_cell_angle_alpha 90.00
_cell_angle_beta 90.00
_cell_angle_gamma 90.00
_symmetry_space_group_name_H-M 'I m m a'
_symmetry_Int_Tables_number 74
_symmetry_space_group_name_Hall '-I 2b 2'
loop_
_atom_site_label
_atom_site_fract_x
_atom_site_fract_y
_atom_site_fract_z
_atom_site_occupancy
Ce1 0.0000 0.0000 0.0000 1
Nd1 0.0000 0.0000 0.5000 1
Nd2 0.2500 0.2500 0.2500 1
Ta1 0.2500 0.2500 0.7500 1
N1 0.0000 0.0403 0.7544 1
N2 0.2411 0.2500 0.9724 1
```


The following is a calculated powder diffractogram of Ho8In3. It was derived from a DFT-relaxed cell (PBE, Alexandria), using Cu Kα X-rays.

Most intense lines, 2θ from 15° to 90°, in order of rising 2θ:
(hkl)	2θ (°)	Rel. int.
1 1 3	27.8	34
3 -1 1	28.4	100
1 0 4	30.1	39
3 -2 2	30.9	44
0 1 5	37.0	9
2 0 5	41.4	13
2 2 3	42.3	34
4 -3 4	47.8	11
4 1 0	48.5	20
4 -2 6	57.3	12
2 1 7	58.4	9
7 0 1	78.2	10

Crystal structure
```
data_Ho8In3
_cell_length_a 9.9250
_cell_length_b 9.9250
_cell_length_c 12.6522
_cell_angle_alpha 90.00
_cell_angle_beta 90.00
_cell_angle_gamma 120.00
_symmetry_space_group_name_H-M 'R -3'
_symmetry_Int_Tables_number 148
_symmetry_space_group_name_Hall '-R 3'
loop_
_atom_site_label
_atom_site_fract_x
_atom_site_fract_y
_atom_site_fract_z
_atom_site_occupancy
Ho1 0.0000 0.0000 0.1476 1
Ho2 0.0327 0.7983 0.6127 1
In1 0.0000 0.5000 0.5000 1
```